# 1
The following is a theoretical powder diffractogram of Fe2Cu3C12N12. It was derived from a structure optimized by DFT (PBE), using copper Kα.
Intensities are scaled so that the largest is 100.

Main lines, low angle first (2θ = 10–90°):
2θ/deg, d [Å], I/Imax
17.40, 5.097, 100
24.70, 3.604, 58
35.22, 2.548, 43
39.54, 2.279, 21
50.66, 1.802, 19
57.15, 1.612, 21

Cell and atoms:
```
data_Fe2Cu3C12N12
_chemical_formula_sum 'Fe2 Cu3 C12 N12'
_cell_length_a 7.2103
_cell_length_b 7.2103
_cell_length_c 10.1873
_cell_angle_alpha 90.00
_cell_angle_beta 90.00
_cell_angle_gamma 90.00
_symmetry_space_group_name_H-M 'P -4 m 2'
_symmetry_Int_Tables_number 115
loop_
_symmetry_equiv_pos_as_xyz
'x,y,z'
'y,-x,-z'
'-x,-y,z'
'-y,x,-z'
'-x,y,z'
'-y,-x,-z'
'x,-y,z'
'y,x,-z'
loop_
_atom_site_label
_atom_site_fract_x
_atom_site_fract_y
_atom_site_fract_z
Fe1 0.0000 0.5000 0.2499
Cu1 0.0000 0.0000 0.0000
Cu2 0.0000 0.5000 0.7499
C1 0.0000 0.5000 0.5508
C2 0.0000 0.5000 0.9498
C3 0.1977 0.2986 0.7523
N1 0.0000 0.5000 0.0648
N2 0.0000 0.5000 0.4363
N3 0.1841 0.3127 0.2484
```



# 2
The following is a theoretical powder diffractogram of Cu3Pb5. It was derived from a structure optimized by DFT (PBE), using copper Kα.
Intensities are scaled so that the largest is 100.

Main lines, low angle first (2θ = 10–90°):
2θ/deg, d [Å], I/Imax
25.42, 3.504, 28
28.95, 3.084, 37
33.59, 2.668, 33
34.17, 2.624, 100
36.12, 2.487, 76
38.25, 2.353, 44

Cell and atoms:
```
data_Cu3Pb5
_chemical_formula_sum 'Cu6 Pb10'
_cell_length_a 8.1520
_cell_length_b 8.1520
_cell_length_c 6.8571
_cell_angle_alpha 90.00
_cell_angle_beta 90.00
_cell_angle_gamma 120.00
_symmetry_space_group_name_H-M 'P 63/m c m'
_symmetry_Int_Tables_number 193
_symmetry_space_group_name_Hall '-P 6c 2'
loop_
_atom_site_label
_atom_site_fract_x
_atom_site_fract_y
_atom_site_fract_z
Cu1 0.0000 0.3914 0.2500
Pb1 0.0000 0.2555 0.7500
Pb2 0.3333 0.6667 0.0000
```



# 3
The following is a theoretical powder diffractogram of Pu2Ge3Pt4Rh. It was derived from a structure optimized by DFT (PBE), using copper Kα.
Intensities are scaled so that the largest is 100.

Main lines, low angle first (2θ = 10–90°):
2θ/deg, d [Å], I/Imax
32.08, 2.790, 32
35.18, 2.551, 100
45.00, 2.014, 30
45.19, 2.007, 43
65.68, 1.422, 20
76.88, 1.240, 21

Cell and atoms:
```
data_Pu2Ge3Pt4Rh
_chemical_formula_sum 'Pu2 Ge3 Pt4 Rh1'
_cell_length_a 4.0133
_cell_length_b 4.0133
_cell_length_c 11.6451
_cell_angle_alpha 90.00
_cell_angle_beta 90.00
_cell_angle_gamma 90.00
_symmetry_space_group_name_H-M 'P -4 m 2'
_symmetry_Int_Tables_number 115
loop_
_symmetry_equiv_pos_as_xyz
'x,y,z'
'y,-x,-z'
'-x,-y,z'
'-y,x,-z'
'-x,y,z'
'-y,-x,-z'
'x,-y,z'
'y,x,-z'
loop_
_atom_site_label
_atom_site_fract_x
_atom_site_fract_y
_atom_site_fract_z
Pu1 0.0000 0.5000 0.2374
Ge1 0.0000 0.0000 0.0000
Ge2 0.0000 0.5000 0.6322
Pt1 0.0000 0.0000 0.5000
Pt2 0.0000 0.5000 0.8407
Pt3 0.5000 0.5000 0.5000
Rh1 0.5000 0.5000 0.0000
```



# 4
The following is a theoretical powder diffractogram of Na5TlO. It was derived from a structure optimized by DFT (PBE), using copper Kα.
Intensities are scaled so that the largest is 100.

Main lines, low angle first (2θ = 10–90°):
2θ/deg, d [Å], I/Imax
14.57, 6.082, 97
15.86, 5.589, 97
22.56, 3.942, 71
27.69, 3.221, 74
30.62, 2.919, 68
32.21, 2.779, 100

Cell and atoms:
```
data_Na5TlO
_chemical_formula_sum 'Na20 Tl4 O4'
_cell_length_a 12.1256
_cell_length_b 7.2482
_cell_length_c 9.3951
_cell_angle_alpha 90.00
_cell_angle_beta 112.79
_cell_angle_gamma 90.00
_symmetry_space_group_name_H-M 'C 1 2/c 1'
_symmetry_Int_Tables_number 15
loop_
_symmetry_equiv_pos_as_xyz
'x,y,z'
'-x,-y,-z'
'-x,y,-z+1/2'
'x,-y,z+1/2'
'x+1/2,y+1/2,z'
'-x+1/2,-y+1/2,-z'
'-x+1/2,y+1/2,-z+1/2'
'x+1/2,-y+1/2,z+1/2'
loop_
_atom_site_label
_atom_site_fract_x
_atom_site_fract_y
_atom_site_fract_z
Na1 0.0000 0.0009 0.2500
Na2 0.1383 0.2298 0.0686
Na3 0.1395 0.2281 0.5701
Tl1 0.0000 0.4995 0.2500
O1 0.0000 0.0000 0.0000
```



# 5
The following is a theoretical powder diffractogram of Al3FeSi2. It was derived from a structure optimized by DFT (PBE), using copper Kα.
Intensities are scaled so that the largest is 100.

Main lines, low angle first (2θ = 10–90°):
2θ/deg, d [Å], I/Imax
20.74, 4.282, 56
34.42, 2.605, 65
43.41, 2.084, 84
43.90, 2.062, 72
47.48, 1.915, 100
48.58, 1.874, 63

Cell and atoms:
```
data_Al3FeSi2
_chemical_formula_sum 'Al12 Fe4 Si8'
_cell_length_a 6.0558
_cell_length_b 6.0558
_cell_length_c 9.5450
_cell_angle_alpha 90.00
_cell_angle_beta 90.00
_cell_angle_gamma 90.00
_symmetry_space_group_name_H-M 'I 4 c m'
_symmetry_Int_Tables_number 108
_symmetry_space_group_name_Hall 'I 4 -2c'
loop_
_atom_site_label
_atom_site_fract_x
_atom_site_fract_y
_atom_site_fract_z
Al1 0.0000 0.0000 0.0000
Al2 0.1613 0.3387 0.1472
Fe1 0.0000 0.0000 0.2565
Si1 0.1466 0.3534 0.8564
```